# Ac8PmSm2
Theoretical powder diffraction line list, copper Kα. Input: a DFT-relaxed cell (GGA-PBE, Alexandria).

Crystal structure
a = 5.9958 Å, b = 9.1118 Å, c = 17.1817 Å
α = 90.00°, β = 90.00°, γ = 90.00°
Space group Immm (No. 71)
Inequivalent atoms, fractional coordinates:
Ac1 0.0000 0.0000 0.1596 [4 per cell]
Ac2 0.0000 0.2076 0.3577 [8 per cell]
Ac3 0.0000 0.2962 0.0000 [4 per cell]
Pm1 0.0000 0.5000 0.5000 [2 per cell]
Sm1 0.0000 0.5000 0.1995 [4 per cell]

Top 8 peaks for 2θ from 10° to 80°, by angle:
| Position (°2θ) | Rel. int. | index |
| --- | --- | --- |
| 27.4 | 24 | 1 1 4 |
| 29.1 | 100 | 1 2 3 |
| 29.8 | 47 | 2 0 0 |
| 31.2 | 16 | 0 0 6 |
| 43.7 | 13 | 2 0 6 |
| 52.5 | 23 | 3 2 3 |
| 57.0 | 14 | 1 5 4 |
| 57.2 | 13 | 2 3 7 |

---

# AcPm9Sm2
Theoretical powder diffraction line list, copper Kα. Input: a DFT-relaxed cell (GGA-PBE, Alexandria).

Crystal structure
a = 5.1917 Å, b = 5.1917 Å, c = 15.5813 Å
α = 90.00°, β = 90.00°, γ = 90.00°
Space group P4/mmm (No. 123)
Inequivalent atoms, fractional coordinates:
Ac1 0.0000 0.0000 0.0000 [1 per cell]
Pm1 0.0000 0.5000 0.1724 [4 per cell]
Pm2 0.0000 0.5000 0.5000 [2 per cell]
Pm3 0.5000 0.5000 0.0000 [1 per cell]
Pm4 0.5000 0.5000 0.3367 [2 per cell]
Sm1 0.0000 0.0000 0.3357 [2 per cell]

Top 8 peaks for 2θ from 10° to 80°, by angle:
| Position (°2θ) | Rel. int. | index |
| --- | --- | --- |
| 26.8 | 1 | 1 1 2 |
| 28.6 | 1 | 0 0 5 |
| 29.8 | 100 | 1 1 3 |
| 34.5 | 51 | 2 0 0 |
| 49.7 | 36 | 2 2 0 |
| 59.0 | 43 | 3 1 3 |
| 61.9 | 12 | 2 2 6 |
| 72.9 | 6 | 4 0 0 |

---

# Ac3Pm4Sm2
Theoretical powder diffraction line list, copper Kα. Input: a DFT-relaxed cell (GGA-PBE, Alexandria).

Crystal structure
a = 15.9937 Å, b = 5.2784 Å, c = 8.4408 Å
α = 90.00°, β = 108.51°, γ = 90.00°
Space group C2/m (No. 12)
Inequivalent atoms, fractional coordinates:
Ac1 0.0000 0.0000 0.0000 [2 per cell]
Ac2 0.1134 0.0000 0.6645 [4 per cell]
Pm1 0.1684 0.5000 0.0009 [4 per cell]
Pm2 0.2210 0.0000 0.3324 [4 per cell]
Sm1 0.0584 0.5000 0.3324 [4 per cell]

Top 8 peaks for 2θ from 10° to 80°, by angle:
| Position (°2θ) | Rel. int. | index |
| --- | --- | --- |
| 29.1 | 100 | 3 1 1 |
| 33.6 | 34 | 0 0 3 |
| 34.0 | 17 | 0 2 0 |
| 48.3 | 12 | 6 0 2 |
| 48.5 | 25 | 0 2 3 |
| 57.3 | 23 | 3 1 4 |
| 57.8 | 15 | 3 3 1 |
| 60.3 | 13 | 6 2 2 |

---

# AcPm8Sm4
Theoretical powder diffraction line list, copper Kα. Input: a DFT-relaxed cell (GGA-PBE, Alexandria).

Crystal structure
a = 11.2701 Å, b = 11.2701 Å, c = 13.8435 Å
α = 90.00°, β = 90.00°, γ = 120.00°
Space group R-3m (No. 166, hexagonal axes)
Inequivalent atoms, fractional coordinates:
Ac1 0.0000 0.0000 0.0000 [3 per cell]
Pm1 0.0000 0.0000 0.2632 [6 per cell]
Pm2 0.0182 0.5091 0.2462 [18 per cell]
Sm1 0.0000 0.0000 0.5000 [3 per cell]
Sm2 0.0000 0.5000 0.5000 [9 per cell]

Top 8 peaks for 2θ from 10° to 80°, by angle:
| Position (°2θ) | Rel. int. | index |
| --- | --- | --- |
| 19.3 | 9 | 0 2 1 |
| 25.0 | 10 | 2 1 1 |
| 31.7 | 100 | 0 2 4 |
| 45.5 | 18 | 4 0 4 |
| 56.4 | 9 | 2 0 8 |
| 56.6 | 27 | 2 4 4 |
| 75.3 | 7 | 4 2 8 |
| 75.4 | 7 | 6 2 4 |

---

# Ac12PmSm7
Theoretical powder diffraction line list, copper Kα. Input: a DFT-relaxed cell (GGA-PBE, Alexandria).

Crystal structure
a = 20.8234 Å, b = 20.8234 Å, c = 6.6677 Å
α = 90.00°, β = 90.00°, γ = 120.00°
Space group R-3m (No. 166, hexagonal axes)
Inequivalent atoms, fractional coordinates:
Ac1 0.0000 0.4126 0.0000 [18 per cell]
Ac2 0.1025 0.5513 0.4838 [18 per cell]
Pm1 0.0000 0.0000 0.5000 [3 per cell]
Sm1 0.0000 0.0000 0.0000 [3 per cell]
Sm2 0.0810 0.1620 0.3110 [18 per cell]

Top 8 peaks for 2θ from 10° to 80°, by angle:
| Position (°2θ) | Rel. int. | index |
| --- | --- | --- |
| 25.3 | 35 | 3 2 1 |
| 25.7 | 43 | 3 3 0 |
| 28.1 | 100 | 0 5 1 |
| 28.5 | 61 | 2 0 2 |
| 30.7 | 56 | 5 1 1 |
| 31.0 | 48 | 5 2 0 |
| 36.7 | 34 | 5 0 2 |
| 44.4 | 39 | 0 7 2 |

---

# Ac5PmSm4
Theoretical powder diffraction line list, copper Kα. Input: a DFT-relaxed cell (GGA-PBE, Alexandria).

Crystal structure
a = 19.3853 Å, b = 5.4846 Å, c = 7.5501 Å
α = 90.00°, β = 103.70°, γ = 90.00°
Space group C2/m (No. 12)
Inequivalent atoms, fractional coordinates:
Ac1 0.0000 0.0000 0.0000 [2 per cell]
Ac2 0.1002 0.5000 0.8008 [4 per cell]
Ac3 0.2002 0.0000 0.6003 [4 per cell]
Pm1 0.0000 0.0000 0.5000 [2 per cell]
Sm1 0.1000 0.5000 0.3004 [4 per cell]
Sm2 0.1999 0.0000 0.1002 [4 per cell]

Top 8 peaks for 2θ from 10° to 80°, by angle:
| Position (°2θ) | Rel. int. | index |
| --- | --- | --- |
| 28.7 | 100 | 5 1 0 |
| 32.7 | 18 | 0 2 0 |
| 32.9 | 18 | 6 0 -2 |
| 34.4 | 16 | 4 0 2 |
| 47.0 | 13 | 6 2 -2 |
| 55.9 | 16 | 5 3 0 |
| 56.2 | 16 | 11 1 -2 |
| 58.2 | 14 | 9 1 2 |

---

# Ac5Pm6Sm2
Theoretical powder diffraction line list, copper Kα. Input: a DFT-relaxed cell (GGA-PBE, Alexandria).

Crystal structure
a = 12.0242 Å, b = 22.0391 Å, c = 3.8087 Å
α = 90.00°, β = 90.00°, γ = 90.00°
Space group Pbam (No. 55)
Inequivalent atoms, fractional coordinates:
Ac1 0.0000 0.0000 0.0000 [2 per cell]
Ac2 0.0688 0.4252 0.0000 [4 per cell]
Ac3 0.1443 0.7228 0.0000 [4 per cell]
Pm1 0.0850 0.1517 0.0000 [4 per cell]
Pm2 0.1618 0.8809 0.5000 [4 per cell]
Pm3 0.2251 0.5562 0.5000 [4 per cell]
Sm1 0.1171 0.2834 0.5000 [4 per cell]

Top 8 peaks for 2θ from 10° to 80°, by angle:
| Position (°2θ) | Rel. int. | index |
| --- | --- | --- |
| 27.7 | 32 | 2 0 1 |
| 28.9 | 32 | 2 2 1 |
| 29.3 | 67 | 1 7 0 |
| 29.5 | 50 | 1 4 1 |
| 30.1 | 29 | 3 5 0 |
| 30.3 | 100 | 2 3 1 |
| 30.8 | 30 | 4 2 0 |
| 47.8 | 26 | 0 0 2 |

---

# AcPm3Sm8
Theoretical powder diffraction line list, copper Kα. Input: a DFT-relaxed cell (GGA-PBE, Alexandria).

Crystal structure
a = 6.4980 Å, b = 11.7050 Å, c = 11.8177 Å
α = 90.00°, β = 90.00°, γ = 90.00°
Space group Immm (No. 71)
Inequivalent atoms, fractional coordinates:
Ac1 0.0000 0.0000 0.0000 [2 per cell]
Pm1 0.0000 0.2379 0.5000 [4 per cell]
Pm2 0.0000 0.5000 0.0000 [2 per cell]
Sm1 0.0000 0.2521 0.1757 [8 per cell]
Sm2 0.2419 0.0000 0.2630 [8 per cell]

Top 8 peaks for 2θ from 10° to 80°, by angle:
| Position (°2θ) | Rel. int. | index |
| --- | --- | --- |
| 15.6 | 13 | 1 0 1 |
| 21.8 | 15 | 1 2 1 |
| 30.6 | 100 | 0 4 0 |
| 31.5 | 39 | 2 2 0 |
| 35.1 | 30 | 2 2 2 |
| 50.6 | 15 | 3 2 3 |
| 54.5 | 13 | 2 0 6 |
| 63.8 | 15 | 2 4 6 |